Simulated X-ray diffraction stick pattern
Compound: RbTiMnO4
Radiation: CuKα
Structure: DFT lattice parameters and positions (GGA+U)

Structure:
```
RbTiMnO4
1.0
5.4590 0.0000 0.0000
0.0000 5.7667 0.0000
-1.4242 0.0000 7.2156
Rb Ti Mn O
2 2 2 8
direct
0.1359 0.2500 0.1086
0.8641 0.7500 0.8914
0.3723 0.2500 0.6544
0.6277 0.7500 0.3456
0.1730 0.7500 0.4635
0.8270 0.2500 0.5365
0.1465 0.0147 0.6638
0.1465 0.4853 0.6638
0.2979 0.7500 0.2215
0.4733 0.2500 0.4327
0.5267 0.7500 0.5673
0.7021 0.2500 0.7785
0.8535 0.5147 0.3362
0.8535 0.9853 0.3362
```

Main lines, low angle first (2θ from 10° to 80°):
(hkl), 2θ (°), I/Imax
0 0 1, 12.3, 53
1 0 -2, 27.0, 57
1 1 1, 27.4, 100
0 1 2, 29.2, 100
0 2 0, 31.0, 82
1 1 -2, 31.2, 28
1 2 -1, 36.4, 45
2 1 -1, 36.9, 41
2 1 1, 41.2, 54
1 1 -4, 52.8, 45